Structure and simulated powder XRD pattern of Sm2Dy7Cd2 (a structure optimized by DFT (GGA-PBE); Cu Kα (λ = 1.5418 Å)).
Intensities are scaled so that the largest is 1000.

Principal peaks in the range 2θ = 10–90°, by angle:
- 29.56°, 3.021 Å, I = 292, (2 0 1)
- 30.82°, 2.901 Å, I = 382, (0 4 0)
- 31.45°, 2.844 Å, I = 490, (3 1 0)
- 32.36°, 2.767 Å, I = 525, (2 2 -2)
- 33.46°, 2.678 Å, I = 1000, (0 2 2)
- 33.85°, 2.648 Å, I = 413, (3 1 -2)
- 36.80°, 2.443 Å, I = 287, (2 4 -1)
- 37.12°, 2.422 Å, I = 232, (2 4 0)
- 40.66°, 2.219 Å, I = 262, (4 2 -1)
- 56.52°, 1.628 Å, I = 247, (0 6 2)

Atomic structure:
Unit cell a=9.6139 b=11.6042 c=6.5901 alpha=90.00 beta=113.72 gamma=90.00
Space group C2/m (No. 12)
Symmetry-distinct sites (fractional):
1 Sm 0.0000 0.1394 0.0000 (multiplicity 4)
2 Dy 0.0000 0.0000 0.5000 (multiplicity 2)
3 Dy 0.1570 0.5000 0.9595 (multiplicity 4)
4 Dy 0.1797 0.2450 0.6973 (multiplicity 8)
5 Cd 0.1632 0.5000 0.4713 (multiplicity 4)